1.
Structure and computed powder diffractogram of CsK4RbHg2 (a DFT-relaxed cell (PBE, Alexandria); Cu Kα X-rays).

Largest 8 diffraction maxima, in order of rising 2θ, 2θ from 10° to 90°:
- 2θ 16.3, intensity 75
- 2θ 21.6, intensity 50
- 2θ 22.4, intensity 62
- 2θ 24.6, intensity 100
- 2θ 28.0, intensity 77
- 2θ 30.7, intensity 65
- 2θ 38.7, intensity 35
- 2θ 42.1, intensity 51

Crystal structure
Cell lengths 5.816, 5.816, 15.235 Å; angles 90.00, 90.00, 90.00 degrees
Space group P4/mmm (No. 123)
Asymmetric unit:
Cs: 0.000 0.000 0.000 (multiplicity 1)
K: 0.000 0.500 0.249 (multiplicity 4)
Rb: 0.000 0.000 0.500 (multiplicity 1)
Hg: 0.500 0.500 0.098 (multiplicity 2)


2.
Structure and computed powder diffractogram of Cs2K2RbHg2 (a DFT-relaxed cell (PBE, Alexandria); Cu Kα X-rays).

Largest 8 diffraction maxima, in order of rising 2θ, 2θ from 10° to 90°:
- 2θ 14.8, intensity 100
- 2θ 21.6, intensity 73
- 2θ 24.0, intensity 65
- 2θ 25.0, intensity 59
- 2θ 25.2, intensity 53
- 2θ 33.3, intensity 34
- 2θ 34.9, intensity 49
- 2θ 35.8, intensity 42

Crystal structure
Cell lengths 16.013, 7.114, 11.019 Å; angles 90.00, 131.74, 90.00 degrees
Space group C2/m (No. 12)
Asymmetric unit:
Cs: 0.092 0.000 0.366 (multiplicity 4)
K: 0.187 0.500 0.793 (multiplicity 4)
Rb: 0.000 0.500 0.000 (multiplicity 2)
Hg: 0.205 0.000 0.796 (multiplicity 4)


3.
Structure and computed powder diffractogram of Cs2KRb2Hg4 (a DFT-relaxed cell (PBE, Alexandria); Cu Kα X-rays).

Largest 8 diffraction maxima, in order of rising 2θ, 2θ from 10° to 90°:
- 2θ 12.4, intensity 25
- 2θ 24.9, intensity 100
- 2θ 28.3, intensity 23
- 2θ 29.1, intensity 35
- 2θ 31.7, intensity 18
- 2θ 37.7, intensity 20
- 2θ 38.0, intensity 17
- 2θ 41.0, intensity 21

Crystal structure
Cell lengths 8.686, 8.686, 12.606 Å; angles 90.00, 90.00, 90.00 degrees
Space group I4/mmm (No. 139)
Asymmetric unit:
Cs: 0.000 0.500 0.250 (multiplicity 4)
K: 0.000 0.000 0.000 (multiplicity 2)
Rb: 0.000 0.000 0.301 (multiplicity 4)
Hg: 0.204 0.204 0.500 (multiplicity 8)


4.
Structure and computed powder diffractogram of Cs2KRb4Hg2 (a DFT-relaxed cell (PBE, Alexandria); Cu Kα X-rays).

Largest 8 diffraction maxima, in order of rising 2θ, 2θ from 10° to 90°:
- 2θ 12.2, intensity 69
- 2θ 22.9, intensity 79
- 2θ 23.1, intensity 100
- 2θ 23.4, intensity 71
- 2θ 26.2, intensity 55
- 2θ 27.2, intensity 54
- 2θ 30.4, intensity 55
- 2θ 35.2, intensity 47

Crystal structure
Cell lengths 7.747, 8.200, 10.447 Å; angles 97.40, 97.02, 107.58 degrees
Space group P-1 (No. 2)
Asymmetric unit:
Cs: 0.204 0.394 0.391 (multiplicity 2)
K: 0.000 0.000 0.000 (multiplicity 1)
Rb: 0.248 0.517 0.883 (multiplicity 2)
Rb: 0.446 0.040 0.709 (multiplicity 2)
Hg: 0.048 0.895 0.376 (multiplicity 2)


5.
Structure and computed powder diffractogram of Cs4K3Rb3Hg2 (a DFT-relaxed cell (PBE, Alexandria); Cu Kα X-rays).

Largest 8 diffraction maxima, in order of rising 2θ, 2θ from 10° to 90°:
- 2θ 12.7, intensity 90
- 2θ 17.4, intensity 95
- 2θ 20.7, intensity 63
- 2θ 24.2, intensity 100
- 2θ 25.2, intensity 90
- 2θ 34.8, intensity 68
- 2θ 35.2, intensity 75
- 2θ 42.8, intensity 70

Crystal structure
Cell lengths 7.067, 37.663, 7.363 Å; angles 90.00, 90.00, 90.00 degrees
Space group Imm2 (No. 44)
Asymmetric unit:
Cs: 0.000 0.087 0.000 (multiplicity 4)
Cs: 0.000 0.200 0.506 (multiplicity 4)
K: 0.000 0.000 0.503 (multiplicity 2)
K: 0.000 0.413 0.006 (multiplicity 4)
Rb: 0.000 0.329 0.509 (multiplicity 4)
Rb: 0.000 0.500 0.510 (multiplicity 2)
Hg: 0.000 0.098 0.499 (multiplicity 4)


6.
Structure and computed powder diffractogram of CsKHgSb2 (a DFT-relaxed cell (PBE, Alexandria); Cu Kα X-rays).

Largest 8 diffraction maxima, in order of rising 2θ, 2θ from 10° to 90°:
- 2θ 22.1, intensity 55
- 2θ 25.4, intensity 32
- 2θ 27.6, intensity 100
- 2θ 30.5, intensity 45
- 2θ 31.0, intensity 32
- 2θ 33.9, intensity 52
- 2θ 46.3, intensity 44
- 2θ 52.5, intensity 31

Crystal structure
Cell lengths 4.382, 5.857, 16.584 Å; angles 90.00, 90.00, 90.00 degrees
Space group Imm2 (No. 44)
Asymmetric unit:
Cs: 0.000 0.000 0.000 (multiplicity 2)
K: 0.000 0.500 0.728 (multiplicity 2)
Hg: 0.000 0.000 0.396 (multiplicity 2)
Sb: 0.000 0.000 0.597 (multiplicity 2)
Sb: 0.000 0.500 0.214 (multiplicity 2)


7.
Structure and computed powder diffractogram of CsKSn2Hg (a DFT-relaxed cell (PBE, Alexandria); Cu Kα X-rays).

Largest 8 diffraction maxima, in order of rising 2θ, 2θ from 10° to 90°:
- 2θ 23.5, intensity 34
- 2θ 24.2, intensity 35
- 2θ 27.1, intensity 100
- 2θ 29.4, intensity 49
- 2θ 34.3, intensity 27
- 2θ 34.7, intensity 38
- 2θ 36.6, intensity 28
- 2θ 47.6, intensity 27

Crystal structure
Cell lengths 4.634, 6.076, 14.501 Å; angles 90.00, 90.00, 90.00 degrees
Space group Imm2 (No. 44)
Asymmetric unit:
Cs: 0.000 0.000 0.000 (multiplicity 2)
K: 0.000 0.500 0.758 (multiplicity 2)
Sn: 0.000 0.000 0.637 (multiplicity 2)
Sn: 0.000 0.500 0.261 (multiplicity 2)
Hg: 0.000 0.000 0.427 (multiplicity 2)


8.
Structure and computed powder diffractogram of CsK2TlHg2 (a DFT-relaxed cell (PBE, Alexandria); Cu Kα X-rays).

Largest 8 diffraction maxima, in order of rising 2θ, 2θ from 10° to 90°:
- 2θ 12.8, intensity 54
- 2θ 19.5, intensity 46
- 2θ 25.7, intensity 57
- 2θ 26.9, intensity 100
- 2θ 30.5, intensity 50
- 2θ 32.1, intensity 54
- 2θ 33.5, intensity 51
- 2θ 34.8, intensity 38

Crystal structure
Cell lengths 5.355, 10.499, 9.194 Å; angles 90.00, 90.00, 90.00 degrees
Space group Pmc2_1 (No. 26)
Asymmetric unit:
Cs: 0.000 0.060 0.000 (multiplicity 2)
K: 0.000 0.330 0.381 (multiplicity 2)
K: 0.500 0.417 0.035 (multiplicity 2)
Tl: 0.500 0.218 0.664 (multiplicity 2)
Hg: 0.000 0.353 0.753 (multiplicity 2)
Hg: 0.500 0.113 0.291 (multiplicity 2)


9.
Structure and computed powder diffractogram of CsLaHg (a DFT-relaxed cell (PBE, Alexandria); Cu Kα X-rays).

Largest 8 diffraction maxima, in order of rising 2θ, 2θ from 10° to 90°:
- 2θ 14.0, intensity 28
- 2θ 26.5, intensity 57
- 2θ 27.9, intensity 36
- 2θ 28.4, intensity 100
- 2θ 29.3, intensity 27
- 2θ 30.5, intensity 98
- 2θ 38.3, intensity 31
- 2θ 44.3, intensity 24

Crystal structure
Cell lengths 13.147, 4.092, 9.851 Å; angles 90.00, 106.22, 90.00 degrees
Space group C2/m (No. 12)
Asymmetric unit:
Cs: 0.150 0.000 0.101 (multiplicity 4)
La: 0.136 0.000 0.511 (multiplicity 4)
Hg: 0.031 0.500 0.706 (multiplicity 4)


10.
Structure and computed powder diffractogram of Cs2LiHg10 (a DFT-relaxed cell (PBE, Alexandria); Cu Kα X-rays).

Largest 8 diffraction maxima, in order of rising 2θ, 2θ from 10° to 90°:
- 2θ 11.8, intensity 96
- 2θ 23.4, intensity 44
- 2θ 25.1, intensity 45
- 2θ 27.3, intensity 51
- 2θ 30.2, intensity 48
- 2θ 34.2, intensity 98
- 2θ 36.0, intensity 43
- 2θ 36.8, intensity 100

Crystal structure
Cell lengths 9.232, 13.471, 7.479 Å; angles 90.00, 90.00, 90.00 degrees
Space group Pbam (No. 55)
Asymmetric unit:
Cs: 0.048 0.181 0.000 (multiplicity 4)
Li: 0.000 0.500 0.500 (multiplicity 2)
Hg: 0.072 0.301 0.500 (multiplicity 4)
Hg: 0.102 0.899 0.500 (multiplicity 4)
Hg: 0.168 0.459 0.195 (multiplicity 8)
Hg: 0.245 0.621 0.500 (multiplicity 4)


11.
Structure and computed powder diffractogram of CsLi2Hg10 (a DFT-relaxed cell (PBE, Alexandria); Cu Kα X-rays).

Largest 8 diffraction maxima, in order of rising 2θ, 2θ from 10° to 90°:
- 2θ 12.9, intensity 54
- 2θ 28.0, intensity 57
- 2θ 29.2, intensity 59
- 2θ 30.8, intensity 89
- 2θ 33.5, intensity 93
- 2θ 33.8, intensity 54
- 2θ 36.2, intensity 100
- 2θ 39.4, intensity 75

Crystal structure
Cell lengths 6.118, 13.751, 17.002 Å; angles 90.00, 90.00, 90.00 degrees
Space group Fmmm (No. 69)
Asymmetric unit:
Cs: 0.000 0.000 0.000 (multiplicity 4)
Li: 0.250 0.000 0.250 (multiplicity 8)
Hg: 0.000 0.115 0.372 (multiplicity 16)
Hg: 0.000 0.161 0.181 (multiplicity 16)
Hg: 0.250 0.250 0.000 (multiplicity 8)


12.
Structure and computed powder diffractogram of CsLiHgTe2 (a DFT-relaxed cell (PBE, Alexandria); Cu Kα X-rays).

Largest 8 diffraction maxima, in order of rising 2θ, 2θ from 10° to 90°:
- 2θ 12.7, intensity 26
- 2θ 16.9, intensity 27
- 2θ 24.8, intensity 100
- 2θ 25.7, intensity 28
- 2θ 26.2, intensity 62
- 2θ 27.9, intensity 27
- 2θ 38.7, intensity 26
- 2θ 45.4, intensity 31

Crystal structure
Cell lengths 6.790, 15.968, 6.984 Å; angles 90.00, 90.00, 90.00 degrees
Space group Cmme (No. 67)
Asymmetric unit:
Cs: 0.000 0.250 0.221 (multiplicity 4)
Li: 0.250 0.000 0.500 (multiplicity 4)
Hg: 0.000 0.000 0.000 (multiplicity 4)
Te: 0.000 0.112 0.717 (multiplicity 8)


13.
Structure and computed powder diffractogram of Cs12MgHg6 (a DFT-relaxed cell (PBE, Alexandria); Cu Kα X-rays).

Largest 8 diffraction maxima, in order of rising 2θ, 2θ from 10° to 90°:
- 2θ 10.5, intensity 27
- 2θ 12.8, intensity 27
- 2θ 22.4, intensity 87
- 2θ 25.0, intensity 100
- 2θ 25.8, intensity 57
- 2θ 31.8, intensity 28
- 2θ 34.4, intensity 35
- 2θ 49.0, intensity 30

Crystal structure
Cell lengths 13.7955, 13.7955, 23.8466 Å; angles 90.00, 90.00, 120.00 degrees
Space group R-3m (No. 166, hexagonal axes)
Asymmetric unit:
Cs: 0.0127 0.5063 0.4014 (multiplicity 18)
Cs: 0.0902 0.5451 0.0927 (multiplicity 18)
Mg: 0.0000 0.0000 0.0000 (multiplicity 3)
Hg: 0.0681 0.5340 0.7550 (multiplicity 18)